1.
Starting from a cell relaxed with PBE, the powder XRD pattern of Pm4Nd3Dy was calculated for Cu Kα.
Peak positions follow from Bragg's law for the DFT cell and can differ from measured ones.

Crystal structure
a = 11.7914 Å, b = 7.3778 Å, c = 6.3769 Å
α = 90.00°, β = 90.00°, γ = 90.00°
Fractional positions:
Pm 0.0000 0.1250 0.0000
Pm 0.0000 0.8751 0.4980
Pm 0.2481 0.1251 0.6661
Pm 0.2519 0.8749 0.1661
Pm 0.5000 0.1249 0.9980
Pm 0.5000 0.8750 0.5000
Pm 0.7481 0.8749 0.1661
Pm 0.7519 0.1251 0.6661
Nd 0.0000 0.6255 0.9992
Nd 0.2502 0.3756 0.1662
Nd 0.2498 0.6244 0.6662
Nd 0.5000 0.3745 0.4992
Nd 0.7498 0.3756 0.1662
Nd 0.7502 0.6244 0.6662
Dy 0.0000 0.3745 0.4998
Dy 0.5000 0.6255 0.9998

Largest 6 diffraction maxima, sorted by position, 2θ from 10° to 80°:
d_spacing	Rel. int.
3.192	235
2.948	253
2.807	1000
1.843	196
1.673	215
1.563	229

2.
Starting from a cell relaxed with PBE, the powder XRD pattern of Pm5Nd12Dy was calculated for Cu Kα.
Peak positions follow from Bragg's law for the DFT cell and can differ from measured ones.

Crystal structure
a = 10.6051 Å, b = 10.6051 Å, c = 5.9296 Å
α = 90.01°, β = 90.01°, γ = 110.30°
Fractional positions:
Pm 0.0000 0.0000 0.0000
Pm 0.1372 0.8628 0.5000
Pm 0.3641 0.6359 0.0000
Pm 0.6359 0.3641 0.0000
Pm 0.8628 0.1372 0.5000
Nd 0.0269 0.6690 0.0084
Nd 0.1691 0.5264 0.4918
Nd 0.2008 0.2008 0.5519
Nd 0.3024 0.3024 0.0511
Nd 0.3310 0.9731 0.9916
Nd 0.4736 0.8309 0.5082
Nd 0.5264 0.1691 0.4918
Nd 0.6690 0.0269 0.0084
Nd 0.6976 0.6976 0.9489
Nd 0.7992 0.7992 0.4481
Nd 0.8309 0.4736 0.5082
Nd 0.9731 0.3310 0.9916
Dy 0.5000 0.5000 0.5000

Largest 6 diffraction maxima, sorted by position, 2θ from 10° to 80°:
d_spacing	Rel. int.
2.965	253
2.914	124
2.895	1000
2.073	123
1.698	144
1.518	106

3.
Starting from a cell relaxed with PBE, the powder XRD pattern of Pm2Nd7Dy2 was calculated for Cu Kα.
Peak positions follow from Bragg's law for the DFT cell and can differ from measured ones.

Crystal structure
a = 8.6049 Å, b = 8.9569 Å, c = 11.8983 Å
α = 105.59°, β = 90.31°, γ = 118.40°
Fractional positions:
Pm 0.0538 0.3347 0.4307
Pm 0.4110 0.1451 0.0607
Pm 0.5890 0.8549 0.9393
Pm 0.9462 0.6653 0.5693
Nd 0.0307 0.2139 0.0975
Nd 0.1056 0.9470 0.2453
Nd 0.2217 0.6493 0.0672
Nd 0.2250 0.1365 0.5650
Nd 0.3251 0.7721 0.4115
Nd 0.3652 0.3568 0.8678
Nd 0.4898 0.3762 0.3663
Nd 0.5102 0.6238 0.6337
Nd 0.6348 0.6432 0.1322
Nd 0.6749 0.2279 0.5885
Nd 0.7750 0.8635 0.4350
Nd 0.7783 0.3507 0.9328
Nd 0.8944 0.0530 0.7547
Nd 0.9693 0.7861 0.9025
Dy 0.1189 0.4998 0.7474
Dy 0.3733 0.9461 0.7444
Dy 0.6267 0.0539 0.2556
Dy 0.8811 0.5002 0.2526

Largest 6 diffraction maxima, sorted by position, 2θ from 10° to 80°:
d_spacing	Rel. int.
2.913	1000
2.897	769
2.842	770
2.831	724
2.757	783
2.693	574

4.
Starting from a cell relaxed with PBE, the powder XRD pattern of Pm3Nd3Dy2 was calculated for Cu Kα.
Peak positions follow from Bragg's law for the DFT cell and can differ from measured ones.

Crystal structure
a = 5.8589 Å, b = 14.7307 Å, c = 6.3617 Å
α = 90.00°, β = 90.00°, γ = 90.00°
Fractional positions:
Pm 0.2500 0.1247 0.1679
Pm 0.2500 0.3753 0.1679
Pm 0.2500 0.7500 0.6619
Pm 0.7500 0.2500 0.3381
Pm 0.7500 0.6247 0.8321
Pm 0.7500 0.8753 0.8321
Nd 0.2500 0.0001 0.6675
Nd 0.2500 0.2500 0.6721
Nd 0.2500 0.4999 0.6675
Nd 0.7500 0.9999 0.3325
Nd 0.7500 0.5001 0.3325
Nd 0.7500 0.7500 0.3279
Dy 0.2500 0.6257 0.1638
Dy 0.2500 0.8743 0.1638
Dy 0.7500 0.1257 0.8362
Dy 0.7500 0.3743 0.8362

Largest 6 diffraction maxima, sorted by position, 2θ from 10° to 80°:
d_spacing	Rel. int.
3.185	235
2.929	252
2.798	1000
1.838	130
1.665	214
1.557	228

5.
Starting from a cell relaxed with PBE, the powder XRD pattern of Pm3Nd7Dy was calculated for Cu Kα.
Peak positions follow from Bragg's law for the DFT cell and can differ from measured ones.

Crystal structure
a = 8.6251 Å, b = 8.6251 Å, c = 5.9884 Å
α = 110.24°, β = 110.24°, γ = 82.88°
Fractional positions:
Pm 0.0000 0.0000 0.0000
Pm 0.2078 0.7922 0.5000
Pm 0.7922 0.2078 0.5000
Nd 0.0094 0.5974 0.8032
Nd 0.2095 0.2095 0.7092
Nd 0.4026 0.9906 0.1968
Nd 0.5000 0.5000 0.5000
Nd 0.5974 0.0094 0.8032
Nd 0.7905 0.7905 0.2908
Nd 0.9906 0.4026 0.1968
Dy 0.5000 0.5000 0.0000

Largest 6 diffraction maxima, sorted by position, 2θ from 10° to 80°:
d_spacing	Rel. int.
3.619	182
2.994	402
2.868	146
2.854	178
2.805	1000
1.690	173

6.
Starting from a cell relaxed with PBE, the powder XRD pattern of PmPr4Nd2Dy2 was calculated for Cu Kα.
Peak positions follow from Bragg's law for the DFT cell and can differ from measured ones.

Crystal structure
a = 8.1995 Å, b = 8.1995 Å, c = 8.1694 Å
α = 107.57°, β = 107.57°, γ = 36.89°
Fractional positions:
Pm 0.0000 0.0000 0.0000
Pr 0.2222 0.2222 0.3298
Pr 0.4452 0.4452 0.6693
Pr 0.5548 0.5548 0.3307
Pr 0.7778 0.7778 0.6702
Nd 0.1118 0.1118 0.6693
Nd 0.8882 0.8882 0.3307
Dy 0.3324 0.3324 0.0006
Dy 0.6676 0.6676 0.9994

Largest 6 diffraction maxima, sorted by position, 2θ from 10° to 80°:
d_spacing	Rel. int.
2.990	1000
2.594	340
2.582	167
1.830	242
1.563	290
1.558	143

7.
Starting from a cell relaxed with PBE, the powder XRD pattern of Pm3PrNdDy was calculated for Cu Kα.
Peak positions follow from Bragg's law for the DFT cell and can differ from measured ones.

Crystal structure
a = 8.1487 Å, b = 5.1679 Å, c = 10.3108 Å
α = 90.00°, β = 108.53°, γ = 90.00°
Fractional positions:
Pm 0.1671 0.2500 0.0423
Pm 0.1677 0.7500 0.7907
Pm 0.1693 0.2500 0.5417
Pm 0.8307 0.7500 0.4583
Pm 0.8323 0.2500 0.2093
Pm 0.8329 0.7500 0.9577
Pr 0.1681 0.7500 0.2930
Pr 0.8319 0.2500 0.7070
Nd 0.4996 0.2500 0.8737
Nd 0.5004 0.7500 0.1263
Dy 0.4998 0.2500 0.3763
Dy 0.5002 0.7500 0.6237

Largest 6 diffraction maxima, sorted by position, 2θ from 10° to 80°:
d_spacing	Rel. int.
2.978	1000
2.581	339
2.575	168
1.824	303
1.557	145
1.555	144

8.
Starting from a cell relaxed with PBE, the powder XRD pattern of Pm2Pr2NdDy was calculated for Cu Kα.
Peak positions follow from Bragg's law for the DFT cell and can differ from measured ones.

Crystal structure
a = 7.1139 Å, b = 5.7922 Å, c = 10.0266 Å
α = 90.00°, β = 90.00°, γ = 90.00°
Fractional positions:
Pm 0.2500 0.0000 0.1647
Pm 0.2500 0.5000 0.6684
Pm 0.7500 0.0000 0.8353
Pm 0.7500 0.5000 0.3316
Pr 0.0000 0.5000 0.0000
Pr 0.2500 0.0000 0.8288
Pr 0.5000 0.5000 0.0000
Pr 0.7500 0.0000 0.1712
Nd 0.0000 0.0000 0.5000
Nd 0.5000 0.0000 0.5000
Dy 0.2500 0.5000 0.3363
Dy 0.7500 0.5000 0.6637

Largest 6 diffraction maxima, sorted by position, 2θ from 10° to 80°:
d_spacing	Rel. int.
2.898	1000
2.049	174
1.672	288
1.515	151
1.448	65
1.218	73

9.
Starting from a cell relaxed with PBE, the powder XRD pattern of Pm2NdDy5Sc was calculated for Cu Kα.
Peak positions follow from Bragg's law for the DFT cell and can differ from measured ones.

Crystal structure
a = 10.2783 Å, b = 10.2783 Å, c = 10.4586 Å
α = 90.00°, β = 90.00°, γ = 148.37°
Fractional positions:
Pm 0.1123 0.8877 0.5000
Pm 0.1146 0.8854 0.9191
Pm 0.8854 0.1146 0.4191
Pm 0.8877 0.1123 0.0000
Nd 0.4128 0.5872 0.6423
Nd 0.5872 0.4128 0.1423
Dy 0.0177 0.9823 0.2044
Dy 0.2766 0.7234 0.5081
Dy 0.2969 0.7031 0.8893
Dy 0.3744 0.6256 0.2041
Dy 0.4820 0.5180 0.9248
Dy 0.5180 0.4820 0.4248
Dy 0.6256 0.3744 0.7041
Dy 0.7031 0.2969 0.3893
Dy 0.7234 0.2766 0.0081
Dy 0.9823 0.0177 0.7044
Sc 0.1964 0.8036 0.1997
Sc 0.8036 0.1964 0.6997

Largest 6 diffraction maxima, sorted by position, 2θ from 10° to 80°:
d_spacing	Rel. int.
3.307	240
3.144	186
2.927	412
2.801	468
2.749	1000
1.607	199

10.
Starting from a cell relaxed with PBE, the powder XRD pattern of PmNdDy2Sc4 was calculated for Cu Kα.
Peak positions follow from Bragg's law for the DFT cell and can differ from measured ones.

Crystal structure
a = 9.1327 Å, b = 9.1327 Å, c = 6.5481 Å
α = 111.01°, β = 111.01°, γ = 88.26°
Fractional positions:
Pm 0.0000 0.5000 0.0000
Pm 0.5000 0.0000 0.5000
Nd 0.0000 0.0000 0.0000
Nd 0.0000 0.0000 0.5000
Dy 0.0000 0.5000 0.5000
Dy 0.5000 0.0000 0.0000
Dy 0.5000 0.5000 0.0000
Dy 0.5000 0.5000 0.5000
Sc 0.2519 0.2534 0.5035
Sc 0.2525 0.7475 0.9994
Sc 0.2534 0.2519 0.0035
Sc 0.2525 0.7475 0.5006
Sc 0.7475 0.2525 0.4994
Sc 0.7466 0.7481 0.9965
Sc 0.7475 0.2525 0.0006
Sc 0.7481 0.7466 0.4965

Largest 6 diffraction maxima, sorted by position, 2θ from 10° to 80°:
d_spacing	Rel. int.
4.236	529
3.180	453
2.837	1000
2.117	858
1.456	253
1.387	213

11.
Starting from a cell relaxed with PBE, the powder XRD pattern of Pm2Nd4SmDy was calculated for Cu Kα.
Peak positions follow from Bragg's law for the DFT cell and can differ from measured ones.

Crystal structure
a = 5.1596 Å, b = 5.1711 Å, c = 10.2997 Å
α = 90.00°, β = 90.12°, γ = 90.00°
Fractional positions:
Pm 0.0000 0.0000 0.0000
Pm 0.5000 0.5000 0.5000
Nd 0.9999 0.5000 0.2484
Nd 0.0001 0.5000 0.7516
Nd 0.5001 0.0000 0.2489
Nd 0.4999 0.0000 0.7511
Sm 0.0000 0.0000 0.5000
Dy 0.5000 0.5000 0.0000

Largest 6 diffraction maxima, sorted by position, 2θ from 10° to 80°:
d_spacing	Rel. int.
2.979	1000
2.583	339
2.575	168
1.825	303
1.558	217
1.554	215

12.
Starting from a cell relaxed with PBE, the powder XRD pattern of PmNd2SmDy was calculated for Cu Kα.
Peak positions follow from Bragg's law for the DFT cell and can differ from measured ones.

Crystal structure
a = 8.2314 Å, b = 6.7420 Å, c = 6.2888 Å
α = 90.00°, β = 90.21°, γ = 90.00°
Fractional positions:
Pm 0.0000 0.0776 0.2500
Pm 0.0000 0.9224 0.7500
Nd 0.3048 0.1961 0.7485
Nd 0.3048 0.8039 0.2485
Nd 0.6952 0.1961 0.7515
Nd 0.6952 0.8039 0.2515
Sm 0.0000 0.5000 0.0000
Sm 0.0000 0.5000 0.5000
Dy 0.5000 0.3383 0.2500
Dy 0.5000 0.6617 0.7500

Largest 6 diffraction maxima, sorted by position, 2θ from 10° to 80°:
d_spacing	Rel. int.
3.144	308
3.120	437
3.067	1000
2.795	481
2.693	449
1.671	282